Entry 1:
Starting from the GGA-PBE geometry in the Materials Project, the powder XRD pattern of LaGa3Fe10C was simulated for Cu Kα (weighted mean of Kα1 and Kα2).
Kinematic intensities with the Lorentz-polarization factor, no thermal factor.

Most intense lines, 2θ = 10–90°, by angle:
2theta	I_rel
33.9	44
34.6	45
37.2	58
37.5	60
37.8	81
45.2	51
45.4	100
45.8	43
46.1	43
46.2	44

Structural model:
```
data_LaGa3Fe10C
_cell_length_a 11.7796
_cell_length_b 11.9144
_cell_length_c 11.5494
_cell_angle_alpha 90.00
_cell_angle_beta 90.00
_cell_angle_gamma 90.00
_space_group_name_H-M_alt 'F m m 2'
_space_group_IT_number 42
_space_group_name_Hall 'F 2 -2'
loop_
_atom_site_label
_atom_site_type_symbol
_atom_site_fract_x
_atom_site_fract_y
_atom_site_fract_z
_atom_site_occupancy
La1 La 0.2500 0.2500 0.0000 1
Ga1 Ga 0.0000 0.1810 0.1252 1
Ga2 Ga 0.0000 0.1827 0.3699 1
Ga3 Ga 0.1836 0.0000 0.8688 1
Fe1 Fe 0.0000 0.0000 0.2498 1
Fe2 Fe 0.0000 0.0000 0.7471 1
Fe3 Fe 0.0000 0.1091 0.9209 1
Fe4 Fe 0.0000 0.1113 0.5740 1
Fe5 Fe 0.1082 0.0000 0.4287 1
Fe6 Fe 0.1120 0.1760 0.7471 1
Fe7 Fe 0.1125 0.0000 0.0744 1
Fe8 Fe 0.1768 0.1116 0.2455 1
Fe9 Fe 0.1792 0.0000 0.6335 1
C1 C 0.2500 0.2500 0.2495 1
```

***

Entry 2:
Starting from the GGA-PBE geometry in the Materials Project, the powder XRD pattern of Sm2Mn2Ga2Fe13C was simulated for Cu Kα (weighted mean of Kα1 and Kα2).
Kinematic intensities with the Lorentz-polarization factor, no thermal factor.

Most intense lines, 2θ = 10–90°, by angle:
2theta	I_rel
29.9	33
31.0	19
36.2	50
37.6	40
42.1	77
42.4	100
43.3	29
43.4	34
47.7	25
62.1	16

Structural model:
```
data_Sm2Mn2Ga2Fe13C
_cell_length_a 9.6927
_cell_length_b 8.5748
_cell_length_c 6.4839
_cell_angle_alpha 90.00
_cell_angle_beta 99.27
_cell_angle_gamma 90.00
_space_group_name_H-M_alt 'C 1 2/m 1'
_space_group_IT_number 12
_space_group_name_Hall '-C 2y'
loop_
_atom_site_label
_atom_site_type_symbol
_atom_site_fract_x
_atom_site_fract_y
_atom_site_fract_z
_atom_site_occupancy
Sm1 Sm 0.1570 0.0000 0.3553 1
Mn1 Mn 0.2500 0.2500 0.0000 1
Ga1 Ga 0.1036 0.5000 0.8976 1
Fe1 Fe 0.0000 0.2139 0.0000 1
Fe2 Fe 0.0000 0.5000 0.5000 1
Fe3 Fe 0.0931 0.2521 0.6571 1
Fe4 Fe 0.1459 0.3536 0.2906 1
Fe5 Fe 0.1558 0.0000 0.8498 1
C1 C 0.0000 0.0000 0.0000 1
```

***

Entry 3:
Starting from the GGA-PBE geometry in the Materials Project, the powder XRD pattern of Nd2Ga3Fe14C2 was simulated for Cu Kα (weighted mean of Kα1 and Kα2).
Kinematic intensities with the Lorentz-polarization factor, no thermal factor.

Most intense lines, 2θ = 10–90°, by angle:
2theta	I_rel
29.6	34
29.7	19
35.6	46
41.4	100
41.9	65
42.0	66
42.9	19
43.5	51
47.0	22
75.5	23

Structural model:
```
data_Nd2Ga3Fe14C2
_cell_length_a 9.7464
_cell_length_b 8.7270
_cell_length_c 6.5197
_cell_angle_alpha 90.00
_cell_angle_beta 98.26
_cell_angle_gamma 90.00
_space_group_name_H-M_alt 'C 1 2/m 1'
_space_group_IT_number 12
_space_group_name_Hall '-C 2y'
loop_
_atom_site_label
_atom_site_type_symbol
_atom_site_fract_x
_atom_site_fract_y
_atom_site_fract_z
_atom_site_occupancy
Nd1 Nd 0.1516 0.0000 0.3363 1
Ga1 Ga 0.0000 0.5000 0.5000 1
Ga2 Ga 0.2500 0.2500 0.0000 1
Fe1 Fe 0.0000 0.2146 0.0000 1
Fe2 Fe 0.0923 0.5000 0.9064 1
Fe3 Fe 0.0983 0.2532 0.6570 1
Fe4 Fe 0.1434 0.3573 0.2866 1
Fe5 Fe 0.1574 0.0000 0.8483 1
C1 C 0.2500 0.2500 0.5000 1
```